[1]
Calculated powder diffraction line list
Compound: Sr4LiCuC2O10
Radiation: λ = 1.5418 Å (Cu Kα)
Structure: a GGA-PBE-relaxed structure
No peak broadening, texture or thermal motion is included.

Peak list (6 most intense, 10° ≤ 2θ ≤ 80°, most intense first)
2theta, I (rel.)
33.14, 100
32.07, 48
40.45, 44
57.84, 32
45.98, 31
22.52, 26

Structural model:
abc: 8.4049 8.4049 8.4049
angles: 141.21 141.21 56.02
Element x y z (fractional)
Sr (0.1134, 0.6134, 0.5000)
Sr (0.3866, 0.8866, 0.5000)
Sr (0.6134, 0.1134, 0.5000)
Sr (0.8866, 0.3866, 0.5000)
Li (0.0000, 0.0000, 0.0000)
Cu (0.5000, 0.5000, 0.0000)
C (0.2382, 0.2382, 0.0000)
C (0.7618, 0.7618, 0.0000)
O (0.1374, 0.4243, 0.0000)
O (0.1502, 0.1502, 0.0000)
O (0.2614, 0.2614, 0.5301)
O (0.2687, 0.7386, 0.0000)
O (0.4243, 0.1374, 0.0000)
O (0.5757, 0.5757, 0.7130)
O (0.7313, 0.7313, 0.4699)
O (0.7386, 0.2687, 0.0000)
O (0.8498, 0.8498, 0.0000)
O (0.8626, 0.8626, 0.2870)

---

[2]
Calculated powder diffraction line list
Compound: Pr3Zn3Ge
Radiation: λ = 1.5418 Å (Cu Kα)
Structure: a GGA-PBE-relaxed structure
No peak broadening, texture or thermal motion is included.

Peak list (6 most intense, 10° ≤ 2θ ≤ 80°, most intense first)
2theta, I (rel.)
31.33, 100
38.25, 22
53.32, 17
35.17, 17
41.98, 17
43.70, 15

Structural model:
abc: 10.2789 10.2789 10.2789
angles: 156.75 155.83 33.79
Element x y z (fractional)
Pr (0.0000, 0.0000, 0.0000)
Pr (0.3725, 0.3725, 0.0000)
Pr (0.6952, 0.1952, 0.5000)
Zn (0.1235, 0.6235, 0.5000)
Zn (0.5519, 0.5519, 0.0000)
Zn (0.8273, 0.8273, 0.0000)
Ge (0.2515, 0.7515, 0.5000)

---

[3]
Calculated powder diffraction line list
Compound: Li2YOs
Radiation: λ = 1.5418 Å (Cu Kα)
Structure: a GGA-PBE-relaxed structure
No peak broadening, texture or thermal motion is included.

Peak list (6 most intense, 10° ≤ 2θ ≤ 80°, most intense first)
2theta, I (rel.)
24.38, 100
36.19, 57
41.12, 46
41.86, 35
20.32, 29
46.29, 21

Structural model:
abc: 5.0514 5.0514 5.0514
angles: 51.51 51.51 51.51
Element x y z (fractional)
Li (0.0000, 0.0000, 0.0000)
Li (0.2798, 0.2798, 0.2798)
Y (0.7883, 0.7883, 0.7883)
Os (0.5641, 0.5641, 0.5641)

---

[4]
Calculated powder diffraction line list
Compound: Ti3MnAg3S8
Radiation: λ = 1.5418 Å (Cu Kα)
Structure: a GGA-PBE-relaxed structure
No peak broadening, texture or thermal motion is included.

Peak list (6 most intense, 10° ≤ 2θ ≤ 80°, most intense first)
2theta, I (rel.)
35.10, 100
54.19, 27
46.61, 25
15.70, 22
31.70, 16
46.45, 14

Structural model:
abc: 6.7715 6.7715 8.0042
angles: 115.22 115.22 59.97
Element x y z (fractional)
Ti (0.0000, 0.0000, 0.0000)
Ti (0.0000, 0.5000, 0.0000)
Ti (0.5000, 0.0000, 0.0000)
Mn (0.5000, 0.5000, 0.0000)
Ag (0.0000, 0.5000, 0.5000)
Ag (0.5000, 0.0000, 0.5000)
Ag (0.5000, 0.5000, 0.5000)
S (0.2361, 0.2361, 0.2071)
S (0.2511, 0.7284, 0.2067)
S (0.2715, 0.2715, 0.7932)
S (0.2716, 0.7489, 0.7933)
S (0.7284, 0.2511, 0.2067)
S (0.7285, 0.7285, 0.2068)
S (0.7489, 0.2716, 0.7933)
S (0.7639, 0.7639, 0.7929)

---

[5]
Calculated powder diffraction line list
Compound: La2NdY6Ho2
Radiation: λ = 1.5418 Å (Cu Kα)
Structure: a GGA-PBE-relaxed structure
No peak broadening, texture or thermal motion is included.

Peak list (6 most intense, 10° ≤ 2θ ≤ 80°, most intense first)
2theta, I (rel.)
31.70, 100
31.27, 15
56.55, 14
32.36, 12
45.98, 9
33.23, 8

Structural model:
abc: 8.7652 8.7652 8.0853
angles: 90.00 90.00 142.52
Element x y z (fractional)
La (0.1742, 0.8258, 0.0000)
La (0.8258, 0.1742, 0.0000)
Nd (0.5000, 0.5000, 0.0000)
Y (0.0000, 0.0000, 0.2867)
Y (0.0000, 0.0000, 0.7133)
Y (0.3652, 0.6348, 0.2867)
Y (0.3652, 0.6348, 0.7133)
Y (0.6348, 0.3652, 0.2867)
Y (0.6348, 0.3652, 0.7133)
Ho (0.1891, 0.8109, 0.5000)
Ho (0.8109, 0.1891, 0.5000)

---

[6]
Calculated powder diffraction line list
Compound: ZrPa2GeN6
Radiation: λ = 1.5418 Å (Cu Kα)
Structure: a GGA-PBE-relaxed structure
No peak broadening, texture or thermal motion is included.

Peak list (6 most intense, 10° ≤ 2θ ≤ 80°, most intense first)
2theta, I (rel.)
29.71, 100
33.86, 36
58.03, 31
17.58, 28
49.93, 24
43.24, 18

Structural model:
abc: 5.2955 5.2955 5.0456
angles: 90.00 90.00 90.00
Element x y z (fractional)
Zr (0.0000, 0.0000, 0.0000)
Pa (0.0000, 0.5000, 0.4229)
Pa (0.5000, 0.0000, 0.4229)
Ge (0.5000, 0.5000, 0.0127)
N (0.0000, 0.0000, 0.5934)
N (0.2588, 0.2588, 0.1726)
N (0.2588, 0.7412, 0.1726)
N (0.5000, 0.5000, 0.6450)
N (0.7412, 0.2588, 0.1726)
N (0.7412, 0.7412, 0.1726)

---

[7]
Calculated powder diffraction line list
Compound: Rb3U3TiTe8
Radiation: λ = 1.5418 Å (Cu Kα)
Structure: a GGA-PBE-relaxed structure
No peak broadening, texture or thermal motion is included.

Peak list (6 most intense, 10° ≤ 2θ ≤ 80°, most intense first)
2theta, I (rel.)
27.10, 100
10.01, 88
26.96, 50
40.98, 36
33.40, 35
36.09, 33

Structural model:
abc: 8.7029 8.8057 10.1594
angles: 64.89 64.67 60.46
Element x y z (fractional)
Rb (0.0000, 0.0000, 0.0000)
Rb (0.0000, 0.5000, 0.0000)
Rb (0.5000, 0.0000, 0.0000)
U (0.0000, 0.5000, 0.5000)
U (0.5000, 0.0000, 0.5000)
U (0.5000, 0.5000, 0.5000)
Ti (0.0000, 0.0000, 0.5000)
Te (0.2200, 0.7498, 0.3099)
Te (0.2215, 0.2207, 0.3093)
Te (0.2512, 0.7795, 0.6912)
Te (0.2644, 0.2649, 0.7057)
Te (0.7356, 0.7351, 0.2943)
Te (0.7488, 0.2205, 0.3088)
Te (0.7785, 0.7793, 0.6907)
Te (0.7800, 0.2502, 0.6901)

---

[8]
Calculated powder diffraction line list
Compound: Ho3Sc2Ag2
Radiation: λ = 1.5418 Å (Cu Kα)
Structure: a GGA-PBE-relaxed structure
No peak broadening, texture or thermal motion is included.

Peak list (6 most intense, 10° ≤ 2θ ≤ 80°, most intense first)
2theta, I (rel.)
32.90, 100
37.00, 86
14.54, 63
34.72, 60
32.28, 52
26.38, 37

Structural model:
abc: 6.6619 6.6619 8.7963
angles: 114.38 114.38 30.74
Element x y z (fractional)
Ho (0.0000, 0.0000, 0.0000)
Ho (0.1081, 0.1081, 0.4443)
Ho (0.8919, 0.8919, 0.5557)
Sc (0.3579, 0.3579, 0.1858)
Sc (0.6421, 0.6421, 0.8142)
Ag (0.3149, 0.3149, 0.7804)
Ag (0.6851, 0.6851, 0.2196)

---

[9]
Calculated powder diffraction line list
Compound: Pm8Nd4Pu
Radiation: λ = 1.5418 Å (Cu Kα)
Structure: a GGA-PBE-relaxed structure
No peak broadening, texture or thermal motion is included.

Peak list (6 most intense, 10° ≤ 2θ ≤ 80°, most intense first)
2theta, I (rel.)
32.05, 100
57.09, 29
45.96, 18
57.27, 9
76.17, 8
76.31, 8

Structural model:
abc: 7.8982 7.8982 7.8982
angles: 90.15 90.15 90.15
Element x y z (fractional)
Pm (0.2425, 0.2425, 0.2425)
Pm (0.2419, 0.2419, 0.7565)
Pm (0.2419, 0.7565, 0.2419)
Pm (0.2435, 0.7581, 0.7581)
Pm (0.7565, 0.2419, 0.2419)
Pm (0.7581, 0.2435, 0.7581)
Pm (0.7581, 0.7581, 0.2435)
Pm (0.7575, 0.7575, 0.7575)
Nd (0.0000, 0.0000, 0.0000)
Nd (0.0000, 0.5000, 0.5000)
Nd (0.5000, 0.0000, 0.5000)
Nd (0.5000, 0.5000, 0.0000)
Pu (0.5000, 0.5000, 0.5000)

---

[10]
Calculated powder diffraction line list
Compound: Cs2Hg5Au2
Radiation: λ = 1.5418 Å (Cu Kα)
Structure: a GGA-PBE-relaxed structure
No peak broadening, texture or thermal motion is included.

Peak list (6 most intense, 10° ≤ 2θ ≤ 80°, most intense first)
2theta, I (rel.)
33.04, 100
16.35, 89
33.85, 86
32.13, 81
30.92, 80
37.26, 78

Structural model:
abc: 11.9699 11.9699 11.9699
angles: 55.53 137.07 146.48
Element x y z (fractional)
Cs (0.0867, 0.1430, 0.2296)
Cs (0.0867, 0.3570, 0.4437)
Cs (0.9133, 0.6430, 0.5563)
Cs (0.9133, 0.8570, 0.7704)
Hg (0.9998, 0.2607, 0.7608)
Hg (0.9996, 0.5004, 0.9992)
Hg (0.9998, 0.7390, 0.2391)
Hg (0.3803, 0.6302, 0.0105)
Hg (0.3803, 0.8698, 0.2500)
Hg (0.4999, 0.2390, 0.2392)
Hg (0.4999, 0.7607, 0.7609)
Hg (0.5012, 0.0004, 0.0008)
Hg (0.6198, 0.1302, 0.7500)
Hg (0.6198, 0.3698, 0.9895)
Au (0.4420, 0.2469, 0.6951)
Au (0.4999, 0.9999, 0.5000)
Au (0.4999, 0.4999, 0.0000)
Au (0.5518, 0.7469, 0.3049)

---

[11]
Calculated powder diffraction line list
Compound: CaNd4Sm4
Radiation: λ = 1.5418 Å (Cu Kα)
Structure: a GGA-PBE-relaxed structure
No peak broadening, texture or thermal motion is included.

Peak list (6 most intense, 10° ≤ 2θ ≤ 80°, most intense first)
2theta, I (rel.)
29.79, 100
34.52, 68
49.63, 40
58.95, 38
29.75, 34
61.87, 12

Structural model:
abc: 6.3571 9.7262 11.0313
angles: 101.02 106.71 96.22
Element x y z (fractional)
Ca (0.2480, 0.4156, 0.1942)
Ca (0.7520, 0.5844, 0.8058)
Nd (0.2483, 0.0789, 0.9686)
Nd (0.2513, 0.7518, 0.4195)
Nd (0.2511, 0.7528, 0.7483)
Nd (0.2518, 0.4100, 0.8586)
Nd (0.7482, 0.5900, 0.1414)
Nd (0.7489, 0.2472, 0.2517)
Nd (0.7487, 0.2482, 0.5805)
Nd (0.7517, 0.9211, 0.0314)
Sm (0.2421, 0.4144, 0.5285)
Sm (0.2482, 0.0837, 0.6380)
Sm (0.2500, 0.0772, 0.3080)
Sm (0.2592, 0.7574, 0.0861)
Sm (0.7408, 0.2426, 0.9139)
Sm (0.7500, 0.9228, 0.6920)
Sm (0.7518, 0.9163, 0.3620)
Sm (0.7579, 0.5856, 0.4715)

---

[12]
Calculated powder diffraction line list
Compound: Cs2ScTeS4
Radiation: λ = 1.5418 Å (Cu Kα)
Structure: a GGA-PBE-relaxed structure
No peak broadening, texture or thermal motion is included.

Peak list (6 most intense, 10° ≤ 2θ ≤ 80°, most intense first)
2theta, I (rel.)
24.29, 100
24.93, 82
17.88, 73
41.74, 61
28.37, 57
33.82, 38

Structural model:
abc: 14.3338 12.5801 8.4241
angles: 83.56 60.71 35.73
Element x y z (fractional)
Cs (0.0538, 0.0538, 0.6962)
Cs (0.3038, 0.3038, 0.9462)
Cs (0.6962, 0.6962, 0.0538)
Cs (0.9462, 0.9462, 0.3038)
Sc (0.1250, 0.1250, 0.1250)
Sc (0.8750, 0.8750, 0.8750)
Te (0.3750, 0.3750, 0.3750)
Te (0.6250, 0.6250, 0.6250)
S (0.0457, 0.2889, 0.4091)
S (0.2438, 0.5909, 0.7111)
S (0.2889, 0.0457, 0.7562)
S (0.4091, 0.7562, 0.0457)
S (0.5909, 0.2438, 0.9543)
S (0.7111, 0.9543, 0.2438)
S (0.7562, 0.4091, 0.2889)
S (0.9543, 0.7111, 0.5909)

---

[13]
Calculated powder diffraction line list
Compound: Tb9Dy3Er2
Radiation: λ = 1.5418 Å (Cu Kα)
Structure: a GGA-PBE-relaxed structure
No peak broadening, texture or thermal motion is included.

Peak list (6 most intense, 10° ≤ 2θ ≤ 80°, most intense first)
2theta, I (rel.)
32.67, 100
31.97, 99
31.63, 37
33.61, 22
32.44, 18
57.81, 17

Structural model:
abc: 8.7278 8.7278 10.1434
angles: 103.25 103.25 36.65
Element x y z (fractional)
Tb (0.0000, 0.0000, 0.0000)
Tb (0.1158, 0.1158, 0.8071)
Tb (0.1655, 0.1655, 0.2406)
Tb (0.2410, 0.2410, 0.5930)
Tb (0.3291, 0.3291, 0.9856)
Tb (0.6709, 0.6709, 0.0144)
Tb (0.7590, 0.7590, 0.4070)
Tb (0.8345, 0.8345, 0.7594)
Tb (0.8842, 0.8842, 0.1929)
Dy (0.0000, 0.0000, 0.5000)
Dy (0.3723, 0.3723, 0.3838)
Dy (0.6277, 0.6277, 0.6162)
Er (0.4660, 0.4660, 0.7478)
Er (0.5340, 0.5340, 0.2522)